(1)
Computed powder diffraction line list of LiLu2Pt for a wavelength of 1.5418 Å, from a DFT-relaxed cell (GGA-PBE, the Materials Project).
Peak positions follow from Bragg's law for the DFT cell and can differ from measured ones.

Largest 9 diffraction maxima, sorted by position, 5° ≤ 2θ ≤ 70°:
2θ/deg, I (rel.)
22.40, 279
25.92, 96
36.98, 1000
43.66, 149
45.71, 28
53.30, 177
58.52, 64
60.19, 37
66.64, 364

Atomic structure:
Lattice parameters (Å, degrees): 4.8615 4.8615 4.8615 60.00 60.00 60.00
Fractional positions:
Li (0.0000, 0.0000, 0.0000)
Lu (0.2500, 0.2500, 0.2500)
Lu (0.7500, 0.7500, 0.7500)
Pt (0.5000, 0.5000, 0.5000)


(2)
Computed powder diffraction line list of LiLuRh2 for a wavelength of 1.5418 Å, from a DFT-relaxed cell (GGA-PBE, the Materials Project).
Peak positions follow from Bragg's law for the DFT cell and can differ from measured ones.

Largest 6 diffraction maxima, sorted by position, 5° ≤ 2θ ≤ 70°:
2θ/deg, I (rel.)
24.31, 461
28.14, 11
40.22, 1000
47.55, 232
58.19, 168
64.00, 96

Atomic structure:
Lattice parameters (Å, degrees): 4.4842 4.4842 4.4842 60.00 60.00 60.00
Fractional positions:
Li (0.0000, 0.0000, 0.0000)
Lu (0.5000, 0.5000, 0.5000)
Rh (0.2500, 0.2500, 0.2500)
Rh (0.7500, 0.7500, 0.7500)


(3)
Computed powder diffraction line list of LiLuTl2 for a wavelength of 1.5418 Å, from a DFT-relaxed cell (GGA-PBE, the Materials Project).
Peak positions follow from Bragg's law for the DFT cell and can differ from measured ones.

Largest 10 diffraction maxima, sorted by position, 5° ≤ 2θ ≤ 70°:
2θ/deg, I (rel.)
21.19, 198
24.52, 178
34.95, 1000
41.23, 108
43.16, 55
50.26, 182
55.13, 47
56.69, 75
62.68, 377
66.96, 35

Atomic structure:
Lattice parameters (Å, degrees): 5.1346 5.1346 5.1346 60.00 60.00 60.00
Fractional positions:
Li (0.0000, 0.0000, 0.0000)
Lu (0.5000, 0.5000, 0.5000)
Tl (0.2500, 0.2500, 0.2500)
Tl (0.7500, 0.7500, 0.7500)


(4)
Computed powder diffraction line list of LiMg for a wavelength of 1.5418 Å, from a DFT-relaxed cell (GGA-PBE, the Materials Project).
Peak positions follow from Bragg's law for the DFT cell and can differ from measured ones.

Largest 10 diffraction maxima, sorted by position, 5° ≤ 2θ ≤ 70°:
2θ/deg, I (rel.)
17.88, 854
33.61, 511
35.24, 1000
36.22, 309
41.21, 639
45.25, 215
54.88, 117
59.02, 213
60.35, 199
62.20, 156

Atomic structure:
Lattice parameters (Å, degrees): 5.2794 5.2794 5.2794 34.49 34.49 34.49
Fractional positions:
Li (0.0000, 0.0000, 0.0000)
Mg (0.5000, 0.5000, 0.5000)


(5)
Computed powder diffraction line list of Li3Mg for a wavelength of 1.5418 Å, from a DFT-relaxed cell (GGA-PBE, the Materials Project).
Peak positions follow from Bragg's law for the DFT cell and can differ from measured ones.

Largest 9 diffraction maxima, sorted by position, 5° ≤ 2θ ≤ 70°:
2θ/deg, I (rel.)
20.58, 825
29.26, 672
36.04, 1000
41.86, 489
47.08, 343
51.89, 252
60.69, 318
64.81, 154
68.78, 102

Atomic structure:
Lattice parameters (Å, degrees): 4.3159 4.3159 4.3159 90.00 90.00 90.00
Fractional positions:
Li (0.0000, 0.0000, 0.5000)
Li (0.0000, 0.5000, 0.0000)
Li (0.5000, 0.0000, 0.0000)
Mg (0.5000, 0.5000, 0.5000)


(6)
Computed powder diffraction line list of Li3Mg for a wavelength of 1.5418 Å, from a DFT-relaxed cell (GGA-PBE, the Materials Project).
Peak positions follow from Bragg's law for the DFT cell and can differ from measured ones.

Largest 10 diffraction maxima, sorted by position, 5° ≤ 2θ ≤ 70°:
2θ/deg, I (rel.)
16.89, 642
17.81, 568
24.64, 513
33.70, 383
34.17, 405
36.07, 364
38.37, 1000
38.78, 475
50.19, 238
66.38, 189

Atomic structure:
Lattice parameters (Å, degrees): 3.0850 4.9803 5.2504 90.00 90.00 90.00
Fractional positions:
Li (0.0000, 0.0000, 0.0000)
Li (0.0000, 0.5000, 0.3333)
Li (0.5000, 0.0000, 0.4991)
Mg (0.5000, 0.5000, 0.8359)


(7)
Computed powder diffraction line list of LiMg for a wavelength of 1.5418 Å, from a DFT-relaxed cell (GGA-PBE, the Materials Project).
Peak positions follow from Bragg's law for the DFT cell and can differ from measured ones.

Largest 10 diffraction maxima, sorted by position, 5° ≤ 2θ ≤ 70°:
2θ/deg, I (rel.)
12.46, 1000
23.48, 198
31.22, 283
33.16, 315
35.57, 472
37.48, 625
38.04, 894
39.14, 262
60.40, 189
64.75, 206

Atomic structure:
Lattice parameters (Å, degrees): 5.8326 5.8326 7.4210 106.24 106.24 31.31
Fractional positions:
Li (0.0000, 0.0000, 0.0000)
Li (0.3343, 0.3343, 0.6686)
Li (0.6131, 0.6131, 0.7262)
Mg (0.2790, 0.2790, 0.0525)
Mg (0.6669, 0.6669, 0.3351)
Mg (0.9483, 0.9483, 0.4005)


(8)
Computed powder diffraction line list of LiMg for a wavelength of 1.5418 Å, from a DFT-relaxed cell (GGA-PBE, the Materials Project).
Peak positions follow from Bragg's law for the DFT cell and can differ from measured ones.

Largest 10 diffraction maxima, sorted by position, 5° ≤ 2θ ≤ 70°:
2θ/deg, I (rel.)
5.88, 1000
29.72, 30
32.68, 87
34.85, 80
35.85, 78
37.40, 316
40.75, 43
49.28, 52
58.32, 54
65.45, 57

Atomic structure:
Lattice parameters (Å, degrees): 3.1646 3.1646 15.0294 90.00 90.00 120.00
Fractional positions:
Li (0.0000, 0.0000, 0.0000)
Li (0.3333, 0.6667, 0.1662)
Li (0.3333, 0.6667, 0.8338)
Mg (0.0000, 0.0000, 0.3313)
Mg (0.0000, 0.0000, 0.6687)
Mg (0.3333, 0.6667, 0.5000)


(9)
Computed powder diffraction line list of LiMg for a wavelength of 1.5418 Å, from a DFT-relaxed cell (GGA-PBE, the Materials Project).
Peak positions follow from Bragg's law for the DFT cell and can differ from measured ones.

Largest 10 diffraction maxima, sorted by position, 5° ≤ 2θ ≤ 70°:
2θ/deg, I (rel.)
17.89, 85
21.54, 372
27.60, 245
30.05, 235
36.24, 541
37.36, 1000
46.15, 114
52.19, 181
65.93, 343
68.12, 162

Atomic structure:
Lattice parameters (Å, degrees): 4.9574 7.6171 7.6171 25.10 90.00 90.00
Fractional positions:
Li (0.0000, 0.0000, 0.0000)
Li (0.0000, 0.3395, 0.3395)
Li (0.5000, 0.1762, 0.1762)
Mg (0.0000, 0.6703, 0.6703)
Mg (0.5000, 0.5138, 0.5138)
Mg (0.5000, 0.8382, 0.8382)


(10)
Computed powder diffraction line list of LiMg for a wavelength of 1.5418 Å, from a DFT-relaxed cell (GGA-PBE, the Materials Project).
Peak positions follow from Bragg's law for the DFT cell and can differ from measured ones.

Largest 10 diffraction maxima, sorted by position, 5° ≤ 2θ ≤ 70°:
2θ/deg, I (rel.)
19.83, 349
20.43, 626
22.48, 786
30.14, 355
33.74, 512
35.43, 850
37.60, 1000
37.90, 967
38.60, 917
49.18, 336

Atomic structure:
Lattice parameters (Å, degrees): 5.3158 5.3158 5.8495 115.45 115.45 61.40
Fractional positions:
Li (0.0000, 0.0000, 0.0000)
Li (0.5042, 0.1632, 0.5006)
Li (0.8368, 0.4958, 0.4994)
Mg (0.1693, 0.8307, 0.5000)
Mg (0.3360, 0.3318, 0.9988)
Mg (0.6682, 0.6640, 0.0012)


(11)
Computed powder diffraction line list of LiMg for a wavelength of 1.5418 Å, from a DFT-relaxed cell (GGA-PBE, the Materials Project).
Peak positions follow from Bragg's law for the DFT cell and can differ from measured ones.

Largest 10 diffraction maxima, sorted by position, 5° ≤ 2θ ≤ 70°:
2θ/deg, I (rel.)
11.05, 536
20.75, 367
22.20, 279
33.29, 273
34.24, 312
35.45, 396
37.85, 1000
38.10, 494
49.41, 201
65.23, 190

Atomic structure:
Lattice parameters (Å, degrees): 5.0651 8.1590 8.1590 22.02 90.00 90.00
Fractional positions:
Li (0.0000, 0.0000, 0.0000)
Li (0.0000, 0.3341, 0.3341)
Li (0.5000, 0.5554, 0.5554)
Mg (0.0000, 0.6664, 0.6664)
Mg (0.5000, 0.2214, 0.2214)
Mg (0.5000, 0.8903, 0.8903)


(12)
Computed powder diffraction line list of LiMg for a wavelength of 1.5418 Å, from a DFT-relaxed cell (GGA-PBE, the Materials Project).
Peak positions follow from Bragg's law for the DFT cell and can differ from measured ones.

Largest 10 diffraction maxima, sorted by position, 5° ≤ 2θ ≤ 70°:
2θ/deg, I (rel.)
13.02, 1000
24.87, 265
29.90, 527
33.00, 283
36.10, 536
36.32, 453
36.79, 970
37.66, 927
37.82, 212
66.81, 204

Atomic structure:
Lattice parameters (Å, degrees): 5.6858 5.6858 7.1899 108.10 108.10 34.05
Fractional positions:
Li (0.0000, 0.0000, 0.0000)
Li (0.3428, 0.3428, 0.1506)
Li (0.6572, 0.6572, 0.8494)
Mg (0.0000, 0.0000, 0.5000)
Mg (0.3223, 0.3223, 0.6829)
Mg (0.6777, 0.6777, 0.3171)